The following is a theoretical X-ray powder pattern of Sm2Al3Ge4. It was derived from a crystal structure in the Materials Project, relaxed with GGA-PBE, using λ = 1.5418 Å (Cu Kα).
Lines closer than 0.1° are merged.

Structure:
Unit cell a=6.064 b=14.972 c=7.968 alpha=90.00 beta=90.00 gamma=90.00
Space group Cmce (No. 64)
Unique sites:
Sm  0.000  0.114  0.083 [8 per cell]
Al  0.000  0.000  0.500 [4 per cell]
Al  0.250  0.217  0.750 [8 per cell]
Ge  0.000  0.185  0.449 [8 per cell]
Ge  0.250  0.047  0.750 [8 per cell]

Main lines, most intense first (10 to 90 degrees two-theta):
2θ/deg  d_spacing  I_rel  h k l
35.3  2.544  1000  1 5 1
35.9  2.503  761  0 2 3
37.3  2.413  720  2 0 2
33.8  2.650  611  2 2 1
32.3  2.770  505  1 3 2
19.3  4.593  360  1 1 1
38.2  2.356  346  2 4 0
56.1  1.640  261  3 5 1
50.7  1.800  258  1 7 2
37.8  2.381  251  0 6 1


The following is a theoretical X-ray powder pattern of Mg14TiBiO16. It was derived from a crystal structure in the Materials Project, relaxed with GGA-PBE, using λ = 1.5418 Å (Cu Kα).
Lines closer than 0.1° are merged.

Structure:
Unit cell a=8.735 b=8.735 c=4.418 alpha=90.00 beta=90.00 gamma=90.00
Space group P4/mmm (No. 123)
Unique sites:
Mg  0.000  0.250  0.000 [4 per cell]
Mg  0.000  0.500  0.500 [2 per cell]
Mg  0.236  0.500  0.000 [4 per cell]
Mg  0.242  0.242  0.500 [4 per cell]
Ti  0.000  0.000  0.500 [1 per cell]
Bi  0.500  0.500  0.500 [1 per cell]
O  0.000  0.000  0.000 [1 per cell]
O  0.000  0.257  0.500 [4 per cell]
O  0.000  0.500  0.000 [2 per cell]
O  0.232  0.500  0.500 [4 per cell]
O  0.251  0.251  0.000 [4 per cell]
O  0.500  0.500  0.000 [1 per cell]

Main lines, most intense first (10 to 90 degrees two-theta):
2θ/deg  d_spacing  I_rel  h k l
41.3  2.184  1000  4 0 0
10.1  8.735  739  1 0 0
59.5  1.553  608  4 0 2
14.3  6.177  586  1 1 0
40.9  2.209  530  0 0 2
35.5  2.531  507  2 2 1
24.8  3.593  413  1 1 1
20.3  4.368  346  2 0 0
30.5  2.926  341  2 1 1
22.8  3.907  307  2 1 0